# 1
This entry pairs a crystal structure of Mn3V17Si12 with its computed X-ray powder pattern. Radiation: Cu Kα (λ = 1.5418 Å). Structure: DFT lattice parameters and positions (GGA-PBE).
Intensities are scaled so that the largest is 100.

Largest 10 diffraction maxima, by angle, 5° ≤ 2θ ≤ 70°:
- 38.29 deg, I = 24.2
- 38.68 deg, I = 12.7
- 39.83 deg, I = 68.9
- 41.13 deg, I = 10.7
- 43.11 deg, I = 49.0
- 43.46 deg, I = 70.4
- 44.51 deg, I = 100.0
- 47.53 deg, I = 51.2
- 56.73 deg, I = 14.2
- 63.15 deg, I = 9.1

```
data_Mn3V17Si12
_chemical_formula_sum 'Mn3 V17 Si12'
_cell_length_a 13.170
_cell_length_b 6.990
_cell_length_c 6.990
_cell_angle_alpha 140.70
_cell_angle_beta 90.00
_cell_angle_gamma 90.00
_space_group_name_H-M_alt 'P 1'
_space_group_IT_number 1
_space_group_name_Hall 'P 1'
loop_
_atom_site_label
_atom_site_type_symbol
_atom_site_fract_x
_atom_site_fract_y
_atom_site_fract_z
_atom_site_occupancy
Mn1 Mn 0.000 0.000 0.000 1
Mn2 Mn 0.000 0.499 0.499 1
Mn3 Mn 0.500 0.502 0.502 1
V1 V 0.097 0.072 0.426 1
V2 V 0.097 0.426 0.072 1
V3 V 0.176 0.653 0.848 1
V4 V 0.176 0.848 0.653 1
V5 V 0.323 0.149 0.347 1
V6 V 0.323 0.347 0.149 1
V7 V 0.400 0.579 0.932 1
V8 V 0.400 0.932 0.579 1
V9 V 0.500 0.002 0.002 1
V10 V 0.600 0.579 0.932 1
V11 V 0.600 0.932 0.579 1
V12 V 0.677 0.149 0.347 1
V13 V 0.677 0.347 0.149 1
V14 V 0.824 0.653 0.848 1
V15 V 0.824 0.848 0.653 1
V16 V 0.903 0.072 0.426 1
V17 V 0.903 0.426 0.072 1
Si1 Si 0.000 0.590 0.910 1
Si2 Si 0.000 0.910 0.590 1
Si3 Si 0.160 0.248 0.248 1
Si4 Si 0.249 0.251 0.750 1
Si5 Si 0.249 0.750 0.251 1
Si6 Si 0.337 0.745 0.745 1
Si7 Si 0.500 0.097 0.424 1
Si8 Si 0.500 0.424 0.097 1
Si9 Si 0.663 0.745 0.745 1
Si10 Si 0.751 0.251 0.750 1
Si11 Si 0.751 0.750 0.251 1
Si12 Si 0.840 0.248 0.248 1
```

=====

# 2
This entry pairs a crystal structure of MgAl2S4 with its computed X-ray powder pattern. Radiation: Cu Kα (λ = 1.5418 Å). Structure: DFT lattice parameters and positions (GGA-PBE).
Intensities are scaled so that the largest is 100.

Largest 10 diffraction maxima, by angle, 5° ≤ 2θ ≤ 70°:
- 14.01 deg, I = 9.1
- 20.51 deg, I = 9.5
- 28.71 deg, I = 17.6
- 29.66 deg, I = 13.9
- 32.12 deg, I = 100.0
- 41.72 deg, I = 54.1
- 50.03 deg, I = 34.9
- 50.22 deg, I = 18.9
- 54.63 deg, I = 30.4
- 67.25 deg, I = 8.7

```
data_MgAl2S4
_chemical_formula_sum 'Mg4 Al8 S16'
_cell_length_a 12.645
_cell_length_b 7.266
_cell_length_c 5.955
_cell_angle_alpha 90.00
_cell_angle_beta 90.00
_cell_angle_gamma 90.00
_space_group_name_H-M_alt 'P 1'
_space_group_IT_number 1
_space_group_name_Hall 'P 1'
loop_
_atom_site_label
_atom_site_type_symbol
_atom_site_fract_x
_atom_site_fract_y
_atom_site_fract_z
_atom_site_occupancy
Mg1 Mg 0.235 0.250 0.002 1
Mg2 Mg 0.265 0.750 0.502 1
Mg3 Mg 0.735 0.250 0.498 1
Mg4 Mg 0.765 0.750 0.998 1
Al1 Al 0.000 0.000 0.500 1
Al2 Al 0.000 0.500 0.500 1
Al3 Al 0.085 0.750 0.091 1
Al4 Al 0.415 0.250 0.591 1
Al5 Al 0.500 0.000 0.000 1
Al6 Al 0.500 0.500 0.000 1
Al7 Al 0.585 0.750 0.409 1
Al8 Al 0.915 0.250 0.909 1
S1 S 0.074 0.250 0.729 1
S2 S 0.084 0.750 0.713 1
S3 S 0.158 0.505 0.261 1
S4 S 0.158 0.995 0.261 1
S5 S 0.342 0.005 0.761 1
S6 S 0.342 0.495 0.761 1
S7 S 0.416 0.250 0.213 1
S8 S 0.426 0.750 0.229 1
S9 S 0.574 0.250 0.771 1
S10 S 0.584 0.750 0.787 1
S11 S 0.658 0.505 0.239 1
S12 S 0.658 0.995 0.239 1
S13 S 0.842 0.005 0.739 1
S14 S 0.842 0.495 0.739 1
S15 S 0.916 0.250 0.287 1
S16 S 0.926 0.750 0.271 1
```

=====

# 3
This entry pairs a crystal structure of CaPr2BO5 with its computed X-ray powder pattern. Radiation: Cu Kα (λ = 1.5418 Å). Structure: DFT lattice parameters and positions (GGA-PBE).
Intensities are scaled so that the largest is 100.

Largest 10 diffraction maxima, by angle, 5° ≤ 2θ ≤ 70°:
- 16.91 deg, I = 67.6
- 29.52 deg, I = 32.3
- 31.47 deg, I = 44.2
- 34.21 deg, I = 100.0
- 42.24 deg, I = 21.2
- 45.80 deg, I = 54.7
- 56.04 deg, I = 14.7
- 58.98 deg, I = 20.8
- 60.70 deg, I = 14.4
- 67.32 deg, I = 13.6

```
data_CaPr2BO5
_chemical_formula_sum 'Ca2 Pr4 B2 O10'
_cell_length_a 6.765
_cell_length_b 6.765
_cell_length_c 5.244
_cell_angle_alpha 90.00
_cell_angle_beta 90.00
_cell_angle_gamma 90.00
_space_group_name_H-M_alt 'P 1'
_space_group_IT_number 1
_space_group_name_Hall 'P 1'
loop_
_atom_site_label
_atom_site_type_symbol
_atom_site_fract_x
_atom_site_fract_y
_atom_site_fract_z
_atom_site_occupancy
Ca1 Ca 0.000 0.000 0.000 1
Ca2 Ca 0.500 0.500 0.000 1
Pr1 Pr 0.174 0.326 0.500 1
Pr2 Pr 0.326 0.826 0.500 1
Pr3 Pr 0.674 0.174 0.500 1
Pr4 Pr 0.826 0.674 0.500 1
B1 B 0.000 0.500 0.000 1
B2 B 0.500 0.000 0.000 1
O1 O 0.000 0.000 0.500 1
O2 O 0.121 0.621 0.217 1
O3 O 0.121 0.621 0.783 1
O4 O 0.379 0.121 0.217 1
O5 O 0.379 0.121 0.783 1
O6 O 0.500 0.500 0.500 1
O7 O 0.621 0.879 0.217 1
O8 O 0.621 0.879 0.783 1
O9 O 0.879 0.379 0.217 1
O10 O 0.879 0.379 0.783 1
```

=====

Q: What is the formula in the first record?
A: Mn3V17Si12

=====

Repeat the third record exactly.
This entry pairs a crystal structure of CaPr2BO5 with its computed X-ray powder pattern. Radiation: Cu Kα (λ = 1.5418 Å). Structure: DFT lattice parameters and positions (GGA-PBE).
Intensities are scaled so that the largest is 100.

Largest 10 diffraction maxima, by angle, 5° ≤ 2θ ≤ 70°:
- 16.91 deg, I = 67.6
- 29.52 deg, I = 32.3
- 31.47 deg, I = 44.2
- 34.21 deg, I = 100.0
- 42.24 deg, I = 21.2
- 45.80 deg, I = 54.7
- 56.04 deg, I = 14.7
- 58.98 deg, I = 20.8
- 60.70 deg, I = 14.4
- 67.32 deg, I = 13.6

```
data_CaPr2BO5
_chemical_formula_sum 'Ca2 Pr4 B2 O10'
_cell_length_a 6.765
_cell_length_b 6.765
_cell_length_c 5.244
_cell_angle_alpha 90.00
_cell_angle_beta 90.00
_cell_angle_gamma 90.00
_space_group_name_H-M_alt 'P 1'
_space_group_IT_number 1
_space_group_name_Hall 'P 1'
loop_
_atom_site_label
_atom_site_type_symbol
_atom_site_fract_x
_atom_site_fract_y
_atom_site_fract_z
_atom_site_occupancy
Ca1 Ca 0.000 0.000 0.000 1
Ca2 Ca 0.500 0.500 0.000 1
Pr1 Pr 0.174 0.326 0.500 1
Pr2 Pr 0.326 0.826 0.500 1
Pr3 Pr 0.674 0.174 0.500 1
Pr4 Pr 0.826 0.674 0.500 1
B1 B 0.000 0.500 0.000 1
B2 B 0.500 0.000 0.000 1
O1 O 0.000 0.000 0.500 1
O2 O 0.121 0.621 0.217 1
O3 O 0.121 0.621 0.783 1
O4 O 0.379 0.121 0.217 1
O5 O 0.379 0.121 0.783 1
O6 O 0.500 0.500 0.500 1
O7 O 0.621 0.879 0.217 1
O8 O 0.621 0.879 0.783 1
O9 O 0.879 0.379 0.217 1
O10 O 0.879 0.379 0.783 1
```